No. 1
Structure and computed XRD peak list of PuAu3 (a structure optimized by DFT (PBE); Cu Ka).
Intensities are scaled so that the largest is 100.

```
data_PuAu3
_cell_length_a 6.938
_cell_length_b 6.938
_cell_length_c 6.938
_cell_angle_alpha 90.00
_cell_angle_beta 90.00
_cell_angle_gamma 90.00
_space_group_name_H-M_alt 'F m -3 m'
_space_group_IT_number 225
_space_group_name_Hall '-F 4 2 3'
loop_
_atom_site_label
_atom_site_type_symbol
_atom_site_fract_x
_atom_site_fract_y
_atom_site_fract_z
Pu1 Pu 0.000 0.000 0.000
Au1 Au 0.000 0.000 0.500
Au2 Au 0.250 0.250 0.250
```

The 5 most intense peaks (10° ≤ 2θ ≤ 90°), by angle:
two_theta, Rel. int., index
36.6, 100, 2 2 0
52.8, 18, 4 0 0
66.0, 37, 4 2 2
77.9, 12, 4 4 0
89.3, 18, 6 2 0


No. 2
Structure and computed XRD peak list of K3Bi2I9 (a structure optimized by DFT (PBE); Cu Ka).
Intensities are scaled so that the largest is 100.

```
data_K3Bi2I9
_cell_length_a 8.523
_cell_length_b 14.558
_cell_length_c 21.766
_cell_angle_alpha 90.00
_cell_angle_beta 97.65
_cell_angle_gamma 90.00
_space_group_name_H-M_alt 'C 1 2/c 1'
_space_group_IT_number 15
_space_group_name_Hall '-C 2yc'
loop_
_atom_site_label
_atom_site_type_symbol
_atom_site_fract_x
_atom_site_fract_y
_atom_site_fract_z
K1 K 0.000 0.013 0.250
K2 K 0.019 0.325 0.943
Bi1 Bi 0.033 0.335 0.157
I1 I 0.000 0.497 0.750
I2 I 0.070 0.166 0.081
I3 I 0.185 0.080 0.892
I4 I 0.195 0.419 0.441
I5 I 0.248 0.256 0.720
```

The 10 most intense peaks (10° ≤ 2θ ≤ 90°), by angle:
two_theta, Rel. int., index
12.3, 48, 1 1 -1
12.8, 69, 0 2 1
13.2, 86, 1 1 1
24.8, 100, 2 2 -2
25.2, 66, 1 1 5
27.5, 38, 0 4 3
30.2, 71, 2 2 -5
31.1, 37, 2 2 4
33.2, 56, 3 1 1
43.0, 58, 2 6 0


No. 3
Structure and computed XRD peak list of Li7VP4 (a structure optimized by DFT (PBE); Cu Ka).
Intensities are scaled so that the largest is 100.

```
data_Li7VP4
_cell_length_a 4.542
_cell_length_b 8.090
_cell_length_c 9.146
_cell_angle_alpha 87.91
_cell_angle_beta 76.19
_cell_angle_gamma 76.60
_space_group_name_H-M_alt 'P 1'
_space_group_IT_number 1
_space_group_name_Hall 'P 1'
loop_
_atom_site_label
_atom_site_type_symbol
_atom_site_fract_x
_atom_site_fract_y
_atom_site_fract_z
Li1 Li 0.000 0.000 0.000
Li2 Li 0.003 0.657 0.013
Li3 Li 0.114 0.307 0.005
Li4 Li 0.159 0.388 0.678
Li5 Li 0.250 0.891 0.672
Li6 Li 0.461 0.462 0.142
Li7 Li 0.465 0.790 0.032
Li8 Li 0.472 0.038 0.206
Li9 Li 0.523 0.596 0.783
Li10 Li 0.677 0.265 0.835
Li11 Li 0.697 0.955 0.817
Li12 Li 0.875 0.210 0.281
Li13 Li 0.984 0.668 0.755
Li14 Li 0.993 0.860 0.297
V1 V 0.575 0.116 0.552
V2 V 0.952 0.568 0.439
P1 P 0.140 0.059 0.455
P2 P 0.240 0.136 0.799
P3 P 0.327 0.292 0.382
P4 P 0.382 0.607 0.546
P5 P 0.570 0.719 0.273
P6 P 0.714 0.373 0.587
P7 P 0.804 0.831 0.574
P8 P 0.916 0.482 0.209
```

The 10 most intense peaks (10° ≤ 2θ ≤ 90°), by angle:
two_theta, Rel. int., index
15.2, 100, 0 1 1
21.2, 53, 1 1 0
25.2, 48, 1 0 2
25.4, 50, 1 1 -1
27.2, 61, 1 2 1
32.4, 97, 1 0 3
45.1, 56, 2 1 3
46.3, 91, 2 -1 2
46.6, 49, 0 2 -4
47.1, 58, 0 4 -1


No. 4
Structure and computed XRD peak list of TaAlOs2 (a structure optimized by DFT (PBE); Cu Ka).
Intensities are scaled so that the largest is 100.

```
data_TaAlOs2
_cell_length_a 6.229
_cell_length_b 6.229
_cell_length_c 6.229
_cell_angle_alpha 90.00
_cell_angle_beta 90.00
_cell_angle_gamma 90.00
_space_group_name_H-M_alt 'F m -3 m'
_space_group_IT_number 225
_space_group_name_Hall '-F 4 2 3'
loop_
_atom_site_label
_atom_site_type_symbol
_atom_site_fract_x
_atom_site_fract_y
_atom_site_fract_z
Ta1 Ta 0.000 0.000 0.000
Al1 Al 0.000 0.000 0.500
Os1 Os 0.250 0.250 0.250
```

The 10 most intense peaks (10° ≤ 2θ ≤ 90°), by angle:
two_theta, Rel. int., index
24.8, 17, 1 1 1
28.7, 11, 2 0 0
41.0, 100, 2 2 0
48.5, 9, 3 1 1
50.8, 3, 2 2 2
59.3, 17, 4 0 0
65.3, 4, 3 3 1
67.2, 4, 4 2 0
74.6, 35, 4 2 2
88.9, 12, 4 4 0